Starting from a structure optimized by DFT (GGA-PBE), the powder XRD pattern of Ag3Hg2Br3O2 was computed for Cu Kα X-rays.
No peak broadening, texture or thermal motion is included.

Structural model:
Cell lengths 4.450, 4.450, 22.894 Å; angles 90.00, 90.00, 90.00 degrees
Space group I4/mmm (No. 139)
Asymmetric unit:
Ag 0.000 0.000 0.000 (multiplicity 2)
Ag 0.000 0.000 0.384 (multiplicity 4)
Hg 0.000 0.500 0.250 (multiplicity 4)
Br 0.000 0.000 0.118 (multiplicity 4)
Br 0.000 0.000 0.500 (multiplicity 2)
O 0.000 0.000 0.284 (multiplicity 4)

Peak list (12 most intense, 2θ = 10–80°, low angle first)
15.48 deg, 5.724 Å, intensity 16, (0 0 4); 29.44 deg, 3.034 Å, intensity 100, (1 1 2); 31.26 deg, 2.862 Å, intensity 54, (0 0 8); 32.47 deg, 2.757 Å, intensity 68, (1 1 4); 37.03 deg, 2.428 Å, intensity 34, (1 1 6); 40.54 deg, 2.225 Å, intensity 60, (2 0 0); 49.22 deg, 1.851 Å, intensity 42, (1 1 10); 52.06 deg, 1.757 Å, intensity 50, (2 0 8); 58.68 deg, 1.573 Å, intensity 20, (2 2 0); 67.00 deg, 1.397 Å, intensity 20, (3 1 2); 68.00 deg, 1.379 Å, intensity 22, (2 2 8); 68.69 deg, 1.367 Å, intensity 16, (3 1 4)

***

Starting from a structure optimized by DFT (GGA-PBE), the powder XRD pattern of Pr2Ta2Ni15 was computed for Cu Kα X-rays.
No peak broadening, texture or thermal motion is included.

Structural model:
Cell lengths 8.4508, 8.4508, 12.6022 Å; angles 90.00, 90.00, 120.00 degrees
Space group R-3m (No. 166, hexagonal axes)
Asymmetric unit:
Pr 0.0000 0.0000 0.1494 (multiplicity 6)
Ta 0.0000 0.0000 0.3975 (multiplicity 6)
Ni 0.0000 0.2940 0.5000 (multiplicity 18)
Ni 0.0000 0.5000 0.0000 (multiplicity 9)
Ni 0.0029 0.5015 0.3441 (multiplicity 18)

Peak list (12 most intense, 2θ = 10–80°, low angle first)
13.99 deg, 6.329 Å, intensity 24, (1 0 1); 21.02 deg, 4.225 Å, intensity 21, (1 1 0); 30.90 deg, 2.894 Å, intensity 25, (1 0 4); 36.84 deg, 2.440 Å, intensity 45, (3 0 0); 37.68 deg, 2.387 Å, intensity 41, (0 2 4); 42.83 deg, 2.111 Å, intensity 100, (2 2 0); 43.07 deg, 2.100 Å, intensity 13, (0 0 6); 43.56 deg, 2.078 Å, intensity 44, (2 0 5); 48.21 deg, 1.887 Å, intensity 25, (2 2 3); 62.71 deg, 1.482 Å, intensity 15, (3 2 4); 78.40 deg, 1.220 Å, intensity 15, (6 0 0); 78.81 deg, 1.214 Å, intensity 15, (3 0 9)

***

Starting from a structure optimized by DFT (GGA-PBE), the powder XRD pattern of LaPm2Sn3 was computed for Cu Kα X-rays.
No peak broadening, texture or thermal motion is included.

Structural model:
Cell lengths 5.015, 9.101, 15.103 Å; angles 90.00, 90.00, 90.00 degrees
Space group Imma (No. 74)
Asymmetric unit:
La 0.000 0.250 0.167 (multiplicity 4)
Pm 0.000 0.250 0.500 (multiplicity 4)
Pm 0.000 0.250 0.833 (multiplicity 4)
Sn 0.000 0.000 0.000 (multiplicity 4)
Sn 0.000 0.004 0.665 (multiplicity 8)

Peak list (12 most intense, 2θ = 10–80°, low angle first)
31.96 deg, 2.800 Å, intensity 100, (1 2 3); 35.67 deg, 2.517 Å, intensity 19, (0 0 6); 35.81 deg, 2.507 Å, intensity 19, (2 0 0); 39.61 deg, 2.275 Å, intensity 14, (0 4 0); 51.44 deg, 1.776 Å, intensity 13, (2 0 6); 54.35 deg, 1.688 Å, intensity 11, (0 4 6); 54.46 deg, 1.685 Å, intensity 11, (2 4 0); 61.75 deg, 1.502 Å, intensity 15, (1 2 9); 61.95 deg, 1.498 Å, intensity 15, (3 2 3); 66.81 deg, 1.400 Å, intensity 12, (2 4 6); 67.09 deg, 1.395 Å, intensity 12, (1 6 3); 75.54 deg, 1.259 Å, intensity 2, (0 0 12)